Record 1
The following is a simulated powder X-ray diffraction pattern of Tm2ReC2. It was derived from a cell relaxed with GGA-PBE, using Cu Kα, 1.54184 Å.
Intensities are scaled so that the largest is 100.

Crystal structure
abc: 6.5075 5.0203 9.7283
angles: 90.00 90.00 90.00
Space group Pnma (No. 62)
Unique sites:
Tm1 0.0339 0.2500 0.2169 (multiplicity 4)
Tm2 0.1776 0.2500 0.5573 (multiplicity 4)
Re1 0.2178 0.2500 0.8691 (multiplicity 4)
C1 0.0495 0.7500 0.2407 (multiplicity 4)
C2 0.1732 0.7500 0.5542 (multiplicity 4)

The 8 most intense peaks (2θ from 10° to 90°), in order of falling intensity:
hkl, Position (°2θ), d/Å, Rel. int.
0 1 3, 32.86, 2.726, 100
0 2 0, 35.76, 2.511, 94
2 1 1, 34.11, 2.629, 77
2 0 2, 33.12, 2.704, 22
0 3 3, 62.44, 1.487, 17
2 0 3, 39.22, 2.297, 16
1 0 3, 30.81, 2.902, 15
2 2 2, 49.54, 1.840, 15

Record 2
The following is a simulated powder X-ray diffraction pattern of ZrNb2. It was derived from a cell relaxed with GGA-PBE, using Cu Kα, 1.54184 Å.
Intensities are scaled so that the largest is 100.

Crystal structure
abc: 5.5882 5.5882 8.9723
angles: 90.00 90.00 120.00
Space group P6_3/mmc (No. 194)
Unique sites:
Zr1 0.3333 0.6667 0.0634 (multiplicity 4)
Nb1 0.0000 0.0000 0.0000 (multiplicity 2)
Nb2 0.1711 0.3423 0.7500 (multiplicity 6)

The 8 most intense peaks (2θ from 10° to 90°), in order of falling intensity:
hkl, Position (°2θ), d/Å, Rel. int.
1 1 2, 37.94, 2.372, 100
2 0 1, 38.53, 2.336, 90
1 0 3, 35.28, 2.544, 68
2 0 5, 64.67, 1.441, 30
2 2 0, 66.98, 1.397, 28
1 1 0, 32.03, 2.794, 27
2 1 3, 59.21, 1.560, 25
3 0 2, 61.04, 1.518, 24

Record 3
The following is a simulated powder X-ray diffraction pattern of AsOsS6. It was derived from a cell relaxed with GGA-PBE, using Cu Kα, 1.54184 Å.
Intensities are scaled so that the largest is 100.

Crystal structure
abc: 8.6276 8.6276 8.6276
angles: 90.00 90.00 90.00
Space group F-43m (No. 216)
Unique sites:
As1 0.0000 0.0000 0.0000 (multiplicity 4)
Os1 0.2500 0.2500 0.2500 (multiplicity 4)
S1 0.0178 0.2500 0.7500 (multiplicity 24)

The 8 most intense peaks (2θ from 10° to 90°), in order of falling intensity:
hkl, Position (°2θ), d/Å, Rel. int.
1 1 1, 17.81, 4.981, 100
3 1 1, 34.48, 2.601, 80
2 2 0, 29.28, 3.050, 56
2 0 0, 20.59, 4.314, 55
4 0 0, 41.88, 2.157, 54
3 3 1, 45.85, 1.979, 46
4 4 0, 60.72, 1.525, 34
3 3 3, 55.33, 1.660, 23

Record 4
The following is a simulated powder X-ray diffraction pattern of Ga2Ni7. It was derived from a cell relaxed with GGA-PBE, using Cu Kα, 1.54184 Å.
Intensities are scaled so that the largest is 100.

Crystal structure
abc: 2.5552 2.5552 30.6396
angles: 90.00 90.00 120.00
Space group P-3m1 (No. 164)
Unique sites:
Ga1 0.3333 0.6667 0.2362 (multiplicity 2)
Ni1 0.0000 0.0000 0.3054 (multiplicity 2)
Ni2 0.0000 0.0000 0.5000 (multiplicity 1)
Ni3 0.3333 0.6667 0.4355 (multiplicity 2)
Ni4 0.3333 0.6667 0.6291 (multiplicity 2)

The 8 most intense peaks (2θ from 10° to 90°), in order of falling intensity:
hkl, Position (°2θ), d/Å, Rel. int.
1 0 5, 43.48, 2.081, 100
0 1 10, 50.90, 1.794, 59
1 0 6, 44.63, 2.030, 35
0 0 15, 44.35, 2.043, 28
1 1 0, 74.26, 1.277, 28
0 1 11, 52.84, 1.733, 25
1 0 4, 42.52, 2.126, 21
0 0 16, 47.47, 1.915, 20